Entry 1:
Starting from a cell relaxed with PBE, the XRD peak list of Ac6CuAu2 was simulated for Cu Kα (weighted mean of Kα1 and Kα2).
No peak broadening, texture or thermal motion is included.

Peak list (10 most intense, 2θ from 5° to 70°, by angle)
(hkl), Position (°2θ), I/Imax
1 2 0, 26.22, 55
0 2 2, 27.10, 77
2 1 -2, 27.24, 56
1 0 -4, 27.57, 97
2 1 -1, 28.03, 100
1 1 2, 28.61, 56
1 2 1, 29.53, 83
1 1 -4, 29.71, 55
0 2 3, 32.58, 47
1 3 -1, 35.38, 50

Structural model:
```
data_Ac6CuAu2
_chemical_formula_sum 'Ac12 Cu2 Au4'
_symmetry_space_group_name_H-M 'P 1 21/c 1'
_symmetry_Int_Tables_number 14
_symmetry_space_group_name_Hall '-P 2ybc'
_cell_length_a 7.161
_cell_length_b 8.141
_cell_length_c 12.968
_cell_angle_alpha 90.00
_cell_angle_beta 120.45
_cell_angle_gamma 90.00
loop_
_atom_site_label
_atom_site_type_symbol
_atom_site_fract_x
_atom_site_fract_y
_atom_site_fract_z
Ac1 Ac 0.095 0.199 0.431
Ac2 Ac 0.273 0.668 0.434
Ac3 Ac 0.400 0.047 0.243
Cu1 Cu 0.500 0.000 0.500
Au1 Au 0.160 0.113 0.729
```

Entry 2:
Starting from a cell relaxed with PBE, the XRD peak list of Ac3Cu3Au was simulated for Cu Kα (weighted mean of Kα1 and Kα2).
No peak broadening, texture or thermal motion is included.

Peak list (10 most intense, 2θ from 5° to 70°, by angle)
(hkl), Position (°2θ), I/Imax
0 1 3, 23.84, 35
1 1 2, 30.57, 100
1 0 5, 30.74, 57
1 1 4, 34.29, 25
0 1 7, 36.98, 27
0 2 0, 40.29, 26
2 0 0, 43.33, 21
0 1 9, 45.07, 19
1 2 5, 51.51, 32
2 2 0, 60.65, 16

Structural model:
```
data_Ac3Cu3Au
_chemical_formula_sum 'Ac6 Cu6 Au2'
_symmetry_space_group_name_H-M 'I m m 2'
_symmetry_Int_Tables_number 44
_symmetry_space_group_name_Hall 'I 2 -2'
_cell_length_a 4.176
_cell_length_b 4.477
_cell_length_c 20.265
_cell_angle_alpha 90.00
_cell_angle_beta 90.00
_cell_angle_gamma 90.00
loop_
_atom_site_label
_atom_site_type_symbol
_atom_site_fract_x
_atom_site_fract_y
_atom_site_fract_z
Ac1 Ac 0.000 0.000 0.000
Ac2 Ac 0.000 0.000 0.365
Ac3 Ac 0.000 0.500 0.179
Cu1 Cu 0.000 0.000 0.550
Cu2 Cu 0.000 0.000 0.823
Cu3 Cu 0.000 0.500 0.613
Au1 Au 0.000 0.500 0.744
```

Entry 3:
Starting from a cell relaxed with PBE, the XRD peak list of Ac2Cu2Au was simulated for Cu Kα (weighted mean of Kα1 and Kα2).
No peak broadening, texture or thermal motion is included.

Peak list (10 most intense, 2θ from 5° to 70°, by angle)
(hkl), Position (°2θ), I/Imax
2 0 -3, 23.32, 26
1 1 1, 24.85, 28
1 1 2, 30.17, 83
1 1 -3, 30.31, 35
3 1 -1, 31.29, 100
4 0 -2, 31.73, 43
0 0 4, 34.25, 36
3 1 -4, 38.06, 69
0 2 0, 40.19, 49
4 0 2, 47.04, 27

Structural model:
```
data_Ac2Cu2Au
_chemical_formula_sum 'Ac8 Cu8 Au4'
_symmetry_space_group_name_H-M 'C 1 2/m 1'
_symmetry_Int_Tables_number 12
_symmetry_space_group_name_Hall '-C 2y'
_cell_length_a 11.283
_cell_length_b 4.488
_cell_length_c 11.835
_cell_angle_alpha 90.00
_cell_angle_beta 117.77
_cell_angle_gamma 90.00
loop_
_atom_site_label
_atom_site_type_symbol
_atom_site_fract_x
_atom_site_fract_y
_atom_site_fract_z
Ac1 Ac 0.089 0.000 0.391
Ac2 Ac 0.193 0.500 0.140
Cu1 Cu 0.043 0.000 0.922
Cu2 Cu 0.117 0.500 0.605
Au1 Au 0.081 0.500 0.821
```

Entry 4:
Starting from a cell relaxed with PBE, the XRD peak list of Ac3Ga2CuAu6 was simulated for Cu Kα (weighted mean of Kα1 and Kα2).
No peak broadening, texture or thermal motion is included.

Peak list (10 most intense, 2θ from 5° to 70°, by angle)
(hkl), Position (°2θ), I/Imax
0 0 1, 10.61, 15
0 0 2, 21.31, 15
0 0 3, 32.21, 29
0 2 1, 33.61, 100
1 1 2, 35.01, 18
2 0 2, 38.60, 69
0 2 3, 45.89, 17
0 2 4, 54.81, 18
2 2 0, 56.65, 27
2 2 3, 66.68, 21

Structural model:
```
data_Ac3Ga2CuAu6
_chemical_formula_sum 'Ac3 Ga2 Cu1 Au6'
_symmetry_space_group_name_H-M 'P -3 m 1'
_symmetry_Int_Tables_number 164
_symmetry_space_group_name_Hall '-P 3 2"'
_cell_length_a 6.4993
_cell_length_b 6.4993
_cell_length_c 8.3378
_cell_angle_alpha 90.00
_cell_angle_beta 90.00
_cell_angle_gamma 120.00
loop_
_atom_site_label
_atom_site_type_symbol
_atom_site_fract_x
_atom_site_fract_y
_atom_site_fract_z
Ac1 Ac 0.0000 0.0000 0.0000
Ac2 Ac 0.3333 0.6667 0.6508
Ga1 Ga 0.3333 0.6667 0.0507
Cu1 Cu 0.0000 0.0000 0.5000
Au1 Au 0.1787 0.3574 0.2993
```

Entry 5:
Starting from a cell relaxed with PBE, the XRD peak list of Ac2CuAu2O6 was simulated for Cu Kα (weighted mean of Kα1 and Kα2).
No peak broadening, texture or thermal motion is included.

Peak list (10 most intense, 2θ from 5° to 70°, by angle)
(hkl), Position (°2θ), I/Imax
1 0 1, 17.39, 7
1 1 0, 28.67, 100
0 1 5, 33.05, 61
2 0 5, 44.30, 30
1 1 6, 45.31, 10
3 0 0, 50.78, 21
1 2 5, 53.62, 36
2 2 0, 59.35, 16
1 0 10, 61.61, 8
3 1 5, 69.64, 15

Structural model:
```
data_Ac2CuAu2O6
_chemical_formula_sum 'Ac6 Cu3 Au6 O18'
_symmetry_space_group_name_H-M 'R -3 m'
_symmetry_Int_Tables_number 166
_symmetry_space_group_name_Hall '-R 3 2"'
_cell_length_a 6.2282
_cell_length_b 6.2282
_cell_length_c 15.6753
_cell_angle_alpha 90.00
_cell_angle_beta 90.00
_cell_angle_gamma 120.00
loop_
_atom_site_label
_atom_site_type_symbol
_atom_site_fract_x
_atom_site_fract_y
_atom_site_fract_z
Ac1 Ac 0.0000 0.0000 0.2121
Cu1 Cu 0.0000 0.0000 0.0000
Au1 Au 0.0000 0.0000 0.4099
O1 O 0.0581 0.5291 0.7544
```

Entry 6:
Starting from a cell relaxed with PBE, the XRD peak list of Ac4Cu3AuO12 was simulated for Cu Kα (weighted mean of Kα1 and Kα2).
No peak broadening, texture or thermal motion is included.

Peak list (10 most intense, 2θ from 5° to 70°, by angle)
(hkl), Position (°2θ), I/Imax
1 1 0, 15.64, 5
2 0 0, 22.19, 13
2 1 1, 27.27, 3
2 2 0, 31.59, 100
2 2 2, 38.94, 12
3 2 1, 42.20, 2
4 0 0, 45.27, 27
4 2 0, 50.98, 7
4 2 2, 56.25, 41
4 4 0, 65.96, 17

Structural model:
```
data_Ac4Cu3AuO12
_chemical_formula_sum 'Ac8 Cu6 Au2 O24'
_symmetry_space_group_name_H-M 'I m -3 m'
_symmetry_Int_Tables_number 229
_symmetry_space_group_name_Hall '-I 4 2 3'
_cell_length_a 8.012
_cell_length_b 8.012
_cell_length_c 8.012
_cell_angle_alpha 90.00
_cell_angle_beta 90.00
_cell_angle_gamma 90.00
loop_
_atom_site_label
_atom_site_type_symbol
_atom_site_fract_x
_atom_site_fract_y
_atom_site_fract_z
Ac1 Ac 0.250 0.250 0.250
Cu1 Cu 0.000 0.000 0.500
Au1 Au 0.000 0.000 0.000
O1 O 0.000 0.000 0.256
O2 O 0.000 0.250 0.500
```

Entry 7:
Starting from a cell relaxed with PBE, the XRD peak list of Ac2CuPd3Au12 was simulated for Cu Kα (weighted mean of Kα1 and Kα2).
No peak broadening, texture or thermal motion is included.

Peak list (10 most intense, 2θ from 5° to 70°, by angle)
(hkl), Position (°2θ), I/Imax
0 0 3, 12.58, 14
0 2 1, 24.08, 18
0 1 5, 24.19, 20
0 2 4, 29.18, 100
3 0 3, 38.15, 24
0 2 7, 38.28, 34
2 2 0, 41.64, 68
2 0 8, 41.85, 54
4 0 4, 51.65, 16
2 3 5, 57.75, 15

Structural model:
```
data_Ac2CuPd3Au12
_chemical_formula_sum 'Ac6 Cu3 Pd9 Au36'
_symmetry_space_group_name_H-M 'R -3 m'
_symmetry_Int_Tables_number 166
_symmetry_space_group_name_Hall '-R 3 2"'
_cell_length_a 8.6764
_cell_length_b 8.6764
_cell_length_c 21.0997
_cell_angle_alpha 90.00
_cell_angle_beta 90.00
_cell_angle_gamma 120.00
loop_
_atom_site_label
_atom_site_type_symbol
_atom_site_fract_x
_atom_site_fract_y
_atom_site_fract_z
Ac1 Ac 0.0000 0.0000 0.1257
Cu1 Cu 0.0000 0.0000 0.5000
Pd1 Pd 0.0000 0.5000 0.0000
Au1 Au 0.0195 0.5098 0.1287
Au2 Au 0.0564 0.5282 0.3968
```

Entry 8:
Starting from a cell relaxed with PBE, the XRD peak list of Ac2CuSi3Au4 was simulated for Cu Kα (weighted mean of Kα1 and Kα2).
No peak broadening, texture or thermal motion is included.

Peak list (10 most intense, 2θ from 5° to 70°, by angle)
(hkl), Position (°2θ), I/Imax
1 0 2, 26.32, 22
1 1 1, 29.25, 48
1 0 3, 32.93, 71
1 1 2, 33.04, 100
2 0 0, 39.85, 68
2 0 3, 48.34, 21
1 0 5, 48.93, 22
2 1 3, 52.62, 38
2 2 0, 57.62, 23
3 1 2, 68.03, 34

Structural model:
```
data_Ac2CuSi3Au4
_chemical_formula_sum 'Ac2 Cu1 Si3 Au4'
_symmetry_space_group_name_H-M 'P -4 m 2'
_symmetry_Int_Tables_number 115
_symmetry_space_group_name_Hall 'P -4 -2'
_cell_length_a 4.525
_cell_length_b 4.525
_cell_length_c 10.212
_cell_angle_alpha 90.00
_cell_angle_beta 90.00
_cell_angle_gamma 90.00
loop_
_atom_site_label
_atom_site_type_symbol
_atom_site_fract_x
_atom_site_fract_y
_atom_site_fract_z
Ac1 Ac 0.000 0.500 0.247
Cu1 Cu 0.500 0.500 0.000
Si1 Si 0.000 0.000 0.000
Si2 Si 0.000 0.500 0.631
Au1 Au 0.000 0.000 0.500
Au2 Au 0.000 0.500 0.878
Au3 Au 0.500 0.500 0.500
```